Record 1
Computed powder X-ray diffraction pattern
Compound: Ti2Pd3Au3
Radiation: Cu Kα (weighted mean of Kα1 and Kα2)
Structure: DFT lattice parameters and positions (GGA-PBE)
Intensities are scaled so that the largest is 100.

The 10 most intense peaks (10 to 80 degrees two-theta), by angle:
Position (°2θ)	d_spacing	intensity
24.68	3.607	27
30.33	2.947	4
35.18	2.551	14
39.49	2.282	100
43.45	2.083	35
57.08	1.614	6
63.12	1.473	15
66.02	1.415	22
68.85	1.364	18
74.37	1.276	10

Atomic structure:
Unit cell a=5.102 b=5.102 c=5.102 alpha=89.96 beta=89.96 gamma=89.96
Fractional positions:
Ti  0.246  0.246  0.246
Ti  0.754  0.754  0.754
Pd  0.000  0.248  0.752
Pd  0.248  0.752  0.000
Pd  0.752  0.000  0.248
Au  0.247  0.753  0.500
Au  0.500  0.247  0.753
Au  0.753  0.500  0.247

=====

Record 2
Computed powder X-ray diffraction pattern
Compound: HoEr2Mn
Radiation: Cu Kα (weighted mean of Kα1 and Kα2)
Structure: DFT lattice parameters and positions (GGA-PBE)
Intensities are scaled so that the largest is 100.

The 10 most intense peaks (10 to 80 degrees two-theta), by angle:
Position (°2θ)	d_spacing	intensity
27.53	3.240	29
31.39	2.850	17
33.07	2.709	100
36.28	2.476	49
48.72	1.869	20
52.25	1.751	17
56.91	1.618	10
60.23	1.536	15
62.23	1.492	10
63.24	1.470	31

Atomic structure:
Unit cell a=3.502 b=3.502 c=8.549 alpha=90.00 beta=90.00 gamma=90.00
Fractional positions:
Ho  0.000  0.000  0.000
Er  0.500  0.500  0.299
Er  0.500  0.500  0.701
Mn  0.000  0.000  0.500

=====

Record 3
Computed powder X-ray diffraction pattern
Compound: BaGa4I6
Radiation: Cu Kα (weighted mean of Kα1 and Kα2)
Structure: DFT lattice parameters and positions (GGA-PBE)
Intensities are scaled so that the largest is 100.

The 10 most intense peaks (10 to 80 degrees two-theta), by angle:
Position (°2θ)	d_spacing	intensity
21.73	4.089	12
26.86	3.319	100
27.09	3.292	46
34.56	2.595	22
35.43	2.534	22
35.55	2.525	22
40.29	2.239	23
42.17	2.143	12
49.08	1.856	17
54.79	1.675	13

Atomic structure:
Unit cell a=6.753 b=6.753 c=10.366 alpha=102.05 beta=102.05 gamma=83.10
Fractional positions:
Ba  0.000  0.000  0.000
Ga  0.349  0.349  0.283
Ga  0.396  0.910  0.628
Ga  0.782  0.782  0.290
Ga  0.910  0.396  0.628
I  0.316  0.824  0.290
I  0.424  0.424  0.584
I  0.484  0.968  0.941
I  0.824  0.316  0.290
I  0.888  0.888  0.623
I  0.968  0.484  0.941

=====

Record 4
Computed powder X-ray diffraction pattern
Compound: TmAg3F6
Radiation: Cu Kα (weighted mean of Kα1 and Kα2)
Structure: DFT lattice parameters and positions (GGA-PBE)
Intensities are scaled so that the largest is 100.

The 10 most intense peaks (10 to 80 degrees two-theta), by angle:
Position (°2θ)	d_spacing	intensity
27.93	3.195	100
28.22	3.162	96
30.76	2.907	23
33.38	2.684	36
46.03	1.972	72
47.55	1.912	17
52.98	1.728	16
53.15	1.723	16
56.22	1.636	27
56.72	1.623	26

Atomic structure:
Unit cell a=6.927 b=6.927 c=3.824 alpha=90.00 beta=90.00 gamma=114.10
Fractional positions:
Tm  0.000  0.000  0.000
Ag  0.000  0.500  0.500
Ag  0.500  0.000  0.500
Ag  0.500  0.500  0.000
F  0.106  0.894  0.500
F  0.129  0.358  0.000
F  0.358  0.129  0.000
F  0.642  0.871  0.000
F  0.871  0.642  0.000
F  0.894  0.106  0.500